1.
The following is a simulated X-ray diffraction stick pattern of TlNi6Sb. It was derived from a PBE-relaxed structure, using Cu Kα.
Kinematic intensities with the Lorentz-polarization factor, no thermal factor.

Structural model:
a = 7.5174 Å, b = 10.6265 Å, c = 10.6334 Å
α = 90.00°, β = 90.00°, γ = 90.00°
Space group Cmmm (No. 65)
Asymmetric unit:
1 Tl 0.0000 0.0000 0.2490 x4
2 Tl 0.0000 0.2468 0.0000 x4
3 Ni 0.0000 0.0000 0.0000 x2
4 Ni 0.0000 0.0000 0.5000 x2
5 Ni 0.0000 0.2518 0.2561 x8
6 Ni 0.0000 0.5000 0.0000 x2
7 Ni 0.0000 0.5000 0.5000 x2
8 Ni 0.2448 0.3753 0.1285 x16
9 Ni 0.2460 0.3746 0.3778 x16
10 Sb 0.0000 0.2477 0.5000 x4
11 Sb 0.0000 0.5000 0.2479 x4

Peak list (12 most intense, 10° ≤ 2θ ≤ 90°, by intensity)
- 41.62°, rel. 100
- 48.44°, rel. 48
- 85.73°, rel. 34
- 70.92°, rel. 29
- 23.67°, rel. 23
- 33.73°, rel. 19
- 54.60°, rel. 10
- 60.32°, rel. 8
- 75.96°, rel. 5
- 80.88°, rel. 4
- 14.43°, rel. 2
- 22.12°, rel. 1


2.
The following is a simulated X-ray diffraction stick pattern of TlNiSb. It was derived from a PBE-relaxed structure, using Cu Kα.
Kinematic intensities with the Lorentz-polarization factor, no thermal factor.

Structural model:
a = 4.4644 Å, b = 4.4644 Å, c = 7.5396 Å
α = 90.00°, β = 90.00°, γ = 90.00°
Space group P4/nmm (No. 129, origin choice 2)
Asymmetric unit:
1 Tl 0.2500 0.2500 0.1663 x2
2 Ni 0.2500 0.7500 0.5000 x2
3 Sb 0.2500 0.2500 0.6619 x2

Peak list (12 most intense, 10° ≤ 2θ ≤ 90°, by intensity)
- 31.05°, rel. 100
- 28.27°, rel. 52
- 51.82°, rel. 48
- 40.41°, rel. 46
- 37.15°, rel. 37
- 52.71°, rel. 21
- 68.45°, rel. 19
- 58.47°, rel. 15
- 30.70°, rel. 14
- 81.89°, rel. 13
- 56.90°, rel. 13
- 23.15°, rel. 12


3.
The following is a simulated X-ray diffraction stick pattern of U2NiSb4. It was derived from a PBE-relaxed structure, using Cu Kα.
Kinematic intensities with the Lorentz-polarization factor, no thermal factor.

Structural model:
a = 4.3447 Å, b = 4.3447 Å, c = 8.9654 Å
α = 90.00°, β = 90.00°, γ = 90.00°
Space group P-4m2 (No. 115)
Asymmetric unit:
1 U 0.0000 0.5000 0.2253 x2
2 Ni 0.5000 0.5000 0.0000 x1
3 Sb 0.0000 0.0000 0.5000 x1
4 Sb 0.0000 0.5000 0.8486 x2
5 Sb 0.5000 0.5000 0.5000 x1

Peak list (12 most intense, 10° ≤ 2θ ≤ 90°, by intensity)
- 35.42°, rel. 100
- 41.57°, rel. 48
- 30.77°, rel. 33
- 36.49°, rel. 32
- 22.74°, rel. 30
- 71.87°, rel. 26
- 29.90°, rel. 22
- 29.07°, rel. 19
- 52.05°, rel. 19
- 56.49°, rel. 18
- 60.25°, rel. 16
- 55.44°, rel. 14